The following is a theoretical powder diffractogram of CeSm5As6. It was derived from a DFT-relaxed cell (GGA-PBE, Alexandria), using copper Kα.

Structure:
a = 7.295 Å, b = 7.295 Å, c = 7.298 Å
α = 99.59°, β = 99.59°, γ = 120.01°
Sites, in units of the cell vectors:
Ce (0.000, 0.000, 0.000)
Sm (0.167, 0.833, 0.500)
Sm (0.333, 0.667, 0.000)
Sm (0.500, 0.500, 0.500)
Sm (0.667, 0.333, 0.000)
Sm (0.833, 0.167, 0.500)
As (0.083, 0.413, 0.249)
As (0.248, 0.248, 0.752)
As (0.413, 0.083, 0.249)
As (0.587, 0.917, 0.751)
As (0.752, 0.752, 0.248)
As (0.917, 0.587, 0.751)

Most intense lines, 2θ = 10–90°, by intensity:
30.00°, I = 100; 42.94°, I = 75; 70.72°, I = 34; 53.27°, I = 26; 78.69°, I = 25; 25.90°, I = 19; 62.35°, I = 12; 50.83°, I = 9; 68.68°, I = 4; 84.51°, I = 3